Diffraction record for Zn2HgCl. The powder diffraction line list is theoretical, not measured: it uses a GGA-PBE-relaxed structure and copper Kα.
Neutral-atom scattering factors, no anomalous dispersion.

Structural model:
```
data_Zn2HgCl
_cell_length_a 5.7797
_cell_length_b 3.2842
_cell_length_c 6.3614
_cell_angle_alpha 90.00
_cell_angle_beta 103.08
_cell_angle_gamma 90.00
_symmetry_space_group_name_H-M 'P 1 m 1'
_symmetry_Int_Tables_number 6
loop_
_symmetry_equiv_pos_as_xyz
'x,y,z'
'x,-y,z'
loop_
_atom_site_label
_atom_site_type_symbol
_atom_site_fract_x
_atom_site_fract_y
_atom_site_fract_z
Zn1 Zn 0.0000 0.0000 0.0000
Zn2 Zn 0.2297 0.5000 0.8060
Hg1 Hg 0.0752 0.5000 0.3742
Cl1 Cl 0.5755 0.0000 0.8480
```

Principal peaks in the range 2θ = 5–70°, by intensity:
Position (°2θ)	I (rel.)
15.74	100.0
18.75	39.5
47.32	33.5
30.81	31.4
31.80	30.8
31.54	29.2

***

Diffraction record for ZnHg2Cl. The powder diffraction line list is theoretical, not measured: it uses a GGA-PBE-relaxed structure and copper Kα.
Neutral-atom scattering factors, no anomalous dispersion.

Structural model:
```
data_ZnHg2Cl
_cell_length_a 11.7508
_cell_length_b 3.5046
_cell_length_c 8.1425
_cell_angle_alpha 90.00
_cell_angle_beta 132.16
_cell_angle_gamma 90.00
_symmetry_space_group_name_H-M 'C 1 m 1'
_symmetry_Int_Tables_number 8
loop_
_symmetry_equiv_pos_as_xyz
'x,y,z'
'x,-y,z'
'x+1/2,y+1/2,z'
'x+1/2,-y+1/2,z'
loop_
_atom_site_label
_atom_site_type_symbol
_atom_site_fract_x
_atom_site_fract_y
_atom_site_fract_z
Zn1 Zn 0.0000 0.0000 0.0000
Hg1 Hg 0.2541 0.5000 0.2766
Hg2 Hg 0.4703 0.0000 0.6966
Cl1 Cl 0.3551 0.0000 0.0033
```

Principal peaks in the range 2θ = 5–70°, by intensity:
Position (°2θ)	I (rel.)
15.11	100.0
34.45	36.3
35.14	35.4
34.86	24.2
30.50	18.5
32.43	17.7